# 1
Starting from a structure optimized by DFT (PBE), the XRD peak list of Y2Ho2CI2Br2Cl was computed for Cu Kα X-rays.
Neutral-atom scattering factors, no anomalous dispersion.

Structural model:
Unit cell a=18.519 b=3.830 c=8.007 alpha=90.00 beta=101.77 gamma=90.00
Space group C2/m (No. 12)
One atom of each set of equivalent atoms:
Y 0.133 0.000 0.071 x4
Ho 0.001 0.500 0.795 x4
C 0.000 0.000 0.000 x2
I 0.172 0.500 0.804 x4
Br 0.155 0.500 0.341 x4
Cl 0.000 0.000 0.500 x2

Largest 10 diffraction maxima, low angle first, 2θ = 10–90°:
2θ (°), d [Å], I (rel.), (hkl)
11.29, 7.839, 382, 0 0 1
22.69, 3.920, 209, 0 0 2
23.74, 3.748, 359, 1 1 0
29.56, 3.022, 533, 6 0 0
32.35, 2.768, 1000, 1 1 -2
33.55, 2.671, 174, 6 0 -2
34.05, 2.633, 335, 5 1 0
44.18, 2.050, 313, 5 1 2
44.59, 2.032, 260, 7 1 -2
47.47, 1.915, 199, 0 2 0

---

# 2
Starting from a structure optimized by DFT (PBE), the XRD peak list of Pr2SiGeOs2 was computed for Cu Kα X-rays.
Neutral-atom scattering factors, no anomalous dispersion.

Structural model:
Unit cell a=4.243 b=4.243 c=7.128 alpha=90.00 beta=90.00 gamma=90.00
Space group P4mm (No. 99)
One atom of each set of equivalent atoms:
Pr 0.000 0.000 0.000 x1
Pr 0.500 0.500 0.358 x1
Si 0.000 0.000 0.506 x1
Ge 0.500 0.500 0.872 x1
Os 0.000 0.500 0.676 x2

Largest 10 diffraction maxima, low angle first, 2θ = 10–90°:
2θ (°), d [Å], I (rel.), (hkl)
12.42, 7.128, 875, 0 0 1
24.41, 3.646, 225, 1 0 1
32.37, 2.765, 899, 1 1 1
32.82, 2.729, 366, 1 0 2
37.87, 2.376, 218, 0 0 3
39.25, 2.295, 1000, 1 1 2
42.61, 2.122, 586, 2 0 0
58.31, 1.582, 252, 2 0 3
61.85, 1.500, 195, 2 2 0
75.75, 1.256, 294, 3 1 2

---

# 3
Starting from a structure optimized by DFT (PBE), the XRD peak list of Al2Co2Mo3 was computed for Cu Kα X-rays.
Neutral-atom scattering factors, no anomalous dispersion.

Structural model:
Unit cell a=4.2406 b=4.2406 c=18.5793 alpha=90.00 beta=90.00 gamma=120.00
Space group R3m (No. 160, hexagonal axes)
One atom of each set of equivalent atoms:
Al 0.0000 0.0000 0.0000 x3
Al 0.0000 0.0000 0.4198 x3
Co 0.0000 0.0000 0.1372 x3
Co 0.0000 0.0000 0.7062 x3
Mo 0.0000 0.0000 0.2757 x3
Mo 0.0000 0.0000 0.5638 x3
Mo 0.0000 0.0000 0.8431 x3

Largest 10 diffraction maxima, low angle first, 2θ = 10–90°:
2θ (°), d [Å], I (rel.), (hkl)
14.30, 6.193, 300, 0 0 3
26.09, 3.415, 125, 0 1 2
31.04, 2.881, 178, 1 0 4
42.00, 2.151, 1000, 1 0 7
42.64, 2.120, 978, 1 1 0
45.20, 2.006, 100, 1 1 3
61.40, 1.510, 309, 0 2 7
76.29, 1.248, 151, 0 1 14
77.62, 1.230, 309, 2 1 7
78.07, 1.224, 156, 3 0 0

---

# 4
Starting from a structure optimized by DFT (PBE), the XRD peak list of Cu14Te was computed for Cu Kα X-rays.
Neutral-atom scattering factors, no anomalous dispersion.

Structural model:
Unit cell a=4.389 b=6.710 c=26.513 alpha=90.02 beta=90.00 gamma=90.03
Space group P-1 (No. 2)
One atom of each set of equivalent atoms:
Cu 0.082 0.028 0.314 x2
Cu 0.082 0.178 0.404 x2
Cu 0.084 0.321 0.493 x2
Cu 0.084 0.465 0.581 x2
Cu 0.086 0.604 0.671 x2
Cu 0.246 0.246 0.657 x2
Cu 0.247 0.685 0.300 x2
Cu 0.249 0.822 0.388 x2
Cu 0.249 0.964 0.477 x2
Cu 0.252 0.106 0.567 x2
Cu 0.413 0.899 0.641 x2
Cu 0.416 0.607 0.463 x2
Cu 0.417 0.750 0.552 x2
Cu 0.418 0.468 0.375 x2
Te 0.419 0.320 0.276 x2

Largest 10 diffraction maxima, low angle first, 2θ = 10–90°:
2θ (°), d [Å], I (rel.), (hkl)
10.01, 8.838, 892, 0 0 3
41.42, 2.180, 328, -1 2 7
42.66, 2.120, 373, 0 3 -4
42.80, 2.113, 559, 1 0 11
43.55, 2.078, 983, -1 2 8
43.94, 2.061, 1000, 0 3 -5
45.96, 1.975, 442, 1 0 12
50.24, 1.816, 328, 1 3 6
50.76, 1.799, 333, 2 -2 3
51.23, 1.783, 302, 1 1 -13

---

# 5
Starting from a structure optimized by DFT (PBE), the XRD peak list of CuAg2 was computed for Cu Kα X-rays.
Neutral-atom scattering factors, no anomalous dispersion.

Structural model:
Unit cell a=3.990 b=8.489 c=8.499 alpha=90.00 beta=90.00 gamma=90.00
Space group Imm2 (No. 44)
One atom of each set of equivalent atoms:
Cu 0.000 0.000 0.000 x2
Cu 0.000 0.344 0.346 x4
Ag 0.000 0.000 0.338 x2
Ag 0.000 0.000 0.688 x2
Ag 0.000 0.325 0.005 x4
Ag 0.000 0.334 0.669 x4

Largest 10 diffraction maxima, low angle first, 2θ = 10–90°:
2θ (°), d [Å], I (rel.), (hkl)
29.75, 3.003, 26, 0 2 2
32.55, 2.751, 36, 1 1 2
39.01, 2.309, 1000, 1 3 0
45.30, 2.002, 316, 0 3 3
45.47, 1.995, 161, 2 0 0
65.99, 1.416, 93, 0 6 0
66.12, 1.413, 191, 2 3 3
79.40, 1.207, 214, 1 6 3
79.65, 1.204, 112, 3 3 0
83.79, 1.155, 95, 2 6 0

---

# 6
Starting from a structure optimized by DFT (PBE), the XRD peak list of Sc8Cu2Os was computed for Cu Kα X-rays.
Neutral-atom scattering factors, no anomalous dispersion.

Structural model:
Unit cell a=15.824 b=4.743 c=6.308 alpha=90.00 beta=109.35 gamma=90.00
Space group C2/m (No. 12)
One atom of each set of equivalent atoms:
Sc 0.030 0.000 0.295 x4
Sc 0.095 0.500 0.944 x4
Sc 0.168 0.500 0.471 x4
Sc 0.193 0.000 0.802 x4
Cu 0.182 0.000 0.201 x4
Os 0.000 0.500 0.500 x2

Largest 10 diffraction maxima, low angle first, 2θ = 10–90°:
2θ (°), d [Å], I (rel.), (hkl)
14.88, 5.952, 270, 0 0 1
21.97, 4.046, 316, 2 0 1
23.52, 3.783, 732, 4 0 -1
25.94, 3.434, 397, 3 1 0
34.42, 2.606, 1000, 5 1 -1
36.06, 2.491, 383, 6 0 0
37.82, 2.379, 682, 1 1 2
37.94, 2.372, 619, 0 2 0
39.80, 2.265, 519, 5 1 -2
47.41, 1.918, 263, 3 1 -3